[1]
Diffraction record for Sm2Er8Mg. The X-ray diffraction stick pattern is computed, not measured: it uses the GGA-PBE geometry in Alexandria and a wavelength of 1.5418 Å.
Intensities are scaled so that the largest is 100.

Atomic structure:
```
data_Sm2Er8Mg
_chemical_formula_sum 'Sm4 Er16 Mg2'
_space_group_name_H-M_alt 'C 1 2/m 1'
_space_group_IT_number 12
_space_group_name_Hall '-C 2y'
_cell_length_a 16.194
_cell_length_b 6.553
_cell_length_c 6.620
_cell_angle_alpha 90.00
_cell_angle_beta 101.77
_cell_angle_gamma 90.00
loop_
_atom_site_label
_atom_site_type_symbol
_atom_site_fract_x
_atom_site_fract_y
_atom_site_fract_z
Sm1 Sm 0.186 0.000 0.295
Er1 Er 0.081 0.260 0.888
Er2 Er 0.094 0.500 0.415
Er3 Er 0.246 0.000 0.815
Mg1 Mg 0.000 0.000 0.500
```

Largest 6 diffraction maxima, low angle first, 2θ = 10–80°:
d (Å), Rel. int.
3.028, 30
2.924, 30
2.806, 100
2.768, 39
2.665, 55
2.642, 25

---

[2]
Diffraction record for Sm12Er7Mg. The X-ray diffraction stick pattern is computed, not measured: it uses the GGA-PBE geometry in Alexandria and a wavelength of 1.5418 Å.
Intensities are scaled so that the largest is 100.

Atomic structure:
```
data_Sm12Er7Mg
_chemical_formula_sum 'Sm36 Er21 Mg3'
_space_group_name_H-M_alt 'R -3'
_space_group_IT_number 148
_space_group_name_Hall '-R 3'
_cell_length_a 14.9885
_cell_length_b 14.9885
_cell_length_c 10.0928
_cell_angle_alpha 90.00
_cell_angle_beta 90.00
_cell_angle_gamma 120.00
loop_
_atom_site_label
_atom_site_type_symbol
_atom_site_fract_x
_atom_site_fract_y
_atom_site_fract_z
Sm1 Sm 0.0433 0.7927 0.0749
Sm2 Sm 0.0434 0.8512 0.7516
Er1 Er 0.0000 0.0000 0.0000
Er2 Er 0.0667 0.8240 0.4271
Mg1 Mg 0.0000 0.0000 0.5000
```

Largest 6 diffraction maxima, low angle first, 2θ = 10–80°:
d (Å), Rel. int.
3.069, 44
2.931, 22
2.833, 100
2.656, 50
2.503, 37
1.446, 22

---

[3]
Diffraction record for Sm5Er2Mg5. The X-ray diffraction stick pattern is computed, not measured: it uses the GGA-PBE geometry in Alexandria and a wavelength of 1.5418 Å.
Intensities are scaled so that the largest is 100.

Atomic structure:
```
data_Sm5Er2Mg5
_chemical_formula_sum 'Sm10 Er4 Mg10'
_space_group_name_H-M_alt 'C 1 2/m 1'
_space_group_IT_number 12
_space_group_name_Hall '-C 2y'
_cell_length_a 17.089
_cell_length_b 3.668
_cell_length_c 12.229
_cell_angle_alpha 90.00
_cell_angle_beta 114.42
_cell_angle_gamma 90.00
loop_
_atom_site_label
_atom_site_type_symbol
_atom_site_fract_x
_atom_site_fract_y
_atom_site_fract_z
Sm1 Sm 0.000 0.000 0.000
Sm2 Sm 0.059 0.000 0.745
Sm3 Sm 0.168 0.000 0.524
Er1 Er 0.119 0.500 0.259
Mg1 Mg 0.000 0.500 0.500
Mg2 Mg 0.172 0.500 0.001
Mg3 Mg 0.233 0.500 0.780
```

Largest 6 diffraction maxima, low angle first, 2θ = 10–80°:
d (Å), Rel. int.
8.154, 51
3.502, 36
2.844, 34
2.784, 57
2.733, 100
2.662, 96

---

[4]
Diffraction record for Sm8Er5Mg. The X-ray diffraction stick pattern is computed, not measured: it uses the GGA-PBE geometry in Alexandria and a wavelength of 1.5418 Å.
Intensities are scaled so that the largest is 100.

Atomic structure:
```
data_Sm8Er5Mg
_chemical_formula_sum 'Sm16 Er10 Mg2'
_space_group_name_H-M_alt 'I -4'
_space_group_IT_number 82
_space_group_name_Hall 'I -4'
_cell_length_a 9.675
_cell_length_b 9.675
_cell_length_c 10.055
_cell_angle_alpha 90.00
_cell_angle_beta 90.00
_cell_angle_gamma 90.00
loop_
_atom_site_label
_atom_site_type_symbol
_atom_site_fract_x
_atom_site_fract_y
_atom_site_fract_z
Sm1 Sm 0.066 0.170 0.339
Sm2 Sm 0.093 0.318 0.003
Er1 Er 0.000 0.500 0.250
Er2 Er 0.104 0.298 0.671
Mg1 Mg 0.000 0.000 0.000
```

Largest 6 diffraction maxima, low angle first, 2θ = 10–80°:
d (Å), Rel. int.
3.167, 42
3.071, 55
3.059, 70
2.650, 100
2.593, 41
1.676, 36

---

[5]
Diffraction record for Sm5Er2Mg. The X-ray diffraction stick pattern is computed, not measured: it uses the GGA-PBE geometry in Alexandria and a wavelength of 1.5418 Å.
Intensities are scaled so that the largest is 100.

Atomic structure:
```
data_Sm5Er2Mg
_chemical_formula_sum 'Sm10 Er4 Mg2'
_space_group_name_H-M_alt 'C m m m'
_space_group_IT_number 65
_space_group_name_Hall '-C 2 2'
_cell_length_a 9.705
_cell_length_b 14.484
_cell_length_c 3.617
_cell_angle_alpha 90.00
_cell_angle_beta 90.00
_cell_angle_gamma 90.00
loop_
_atom_site_label
_atom_site_type_symbol
_atom_site_fract_x
_atom_site_fract_y
_atom_site_fract_z
Sm1 Sm 0.000 0.000 0.000
Sm2 Sm 0.241 0.374 0.500
Er1 Er 0.000 0.242 0.000
Mg1 Mg 0.000 0.500 0.000
```

Largest 6 diffraction maxima, low angle first, 2θ = 10–80°:
d (Å), Rel. int.
2.901, 100
2.559, 36
2.426, 15
1.809, 13
1.761, 23
1.535, 29

---

[6]
Diffraction record for Sm8Er6Mg. The X-ray diffraction stick pattern is computed, not measured: it uses the GGA-PBE geometry in Alexandria and a wavelength of 1.5418 Å.
Intensities are scaled so that the largest is 100.

Atomic structure:
```
data_Sm8Er6Mg
_chemical_formula_sum 'Sm8 Er6 Mg1'
_space_group_name_H-M_alt 'P -3'
_space_group_IT_number 147
_space_group_name_Hall '-P 3'
_cell_length_a 9.3440
_cell_length_b 9.3440
_cell_length_c 6.4040
_cell_angle_alpha 90.00
_cell_angle_beta 90.00
_cell_angle_gamma 120.00
loop_
_atom_site_label
_atom_site_type_symbol
_atom_site_fract_x
_atom_site_fract_y
_atom_site_fract_z
Sm1 Sm 0.0384 0.7642 0.3217
Sm2 Sm 0.3333 0.6667 0.3473
Er1 Er 0.0954 0.6476 0.8303
Mg1 Mg 0.0000 0.0000 0.0000
```

Largest 6 diffraction maxima, low angle first, 2θ = 10–80°:
d (Å), Rel. int.
3.202, 13
3.059, 31
2.977, 17
2.760, 100
2.641, 32
1.766, 15

---

[7]
Diffraction record for Tb2SmEr2Mg5. The X-ray diffraction stick pattern is computed, not measured: it uses the GGA-PBE geometry in Alexandria and a wavelength of 1.5418 Å.
Intensities are scaled so that the largest is 100.

Atomic structure:
```
data_Tb2SmEr2Mg5
_chemical_formula_sum 'Tb4 Sm2 Er4 Mg10'
_space_group_name_H-M_alt 'P 4/m b m'
_space_group_IT_number 127
_space_group_name_Hall '-P 4 2ab'
_cell_length_a 10.577
_cell_length_b 10.577
_cell_length_c 5.095
_cell_angle_alpha 90.00
_cell_angle_beta 90.00
_cell_angle_gamma 90.00
loop_
_atom_site_label
_atom_site_type_symbol
_atom_site_fract_x
_atom_site_fract_y
_atom_site_fract_z
Tb1 Tb 0.178 0.322 0.000
Sm1 Sm 0.000 0.000 0.000
Er1 Er 0.118 0.618 0.000
Mg1 Mg 0.000 0.500 0.500
Mg2 Mg 0.075 0.802 0.500
```

Largest 6 diffraction maxima, low angle first, 2θ = 10–80°:
d (Å), Rel. int.
5.095, 98
3.345, 45
2.796, 100
2.565, 23
2.545, 76
2.027, 23

---

[8]
Diffraction record for Sm6Er3Tm2Mg. The X-ray diffraction stick pattern is computed, not measured: it uses the GGA-PBE geometry in Alexandria and a wavelength of 1.5418 Å.
Intensities are scaled so that the largest is 100.

Atomic structure:
```
data_Sm6Er3Tm2Mg
_chemical_formula_sum 'Sm12 Er6 Tm4 Mg2'
_space_group_name_H-M_alt 'C 1 2/m 1'
_space_group_IT_number 12
_space_group_name_Hall '-C 2y'
_cell_length_a 6.164
_cell_length_b 10.680
_cell_length_c 11.646
_cell_angle_alpha 90.00
_cell_angle_beta 100.21
_cell_angle_gamma 90.00
loop_
_atom_site_label
_atom_site_type_symbol
_atom_site_fract_x
_atom_site_fract_y
_atom_site_fract_z
Sm1 Sm 0.249 0.000 0.249
Sm2 Sm 0.249 0.333 0.248
Er1 Er 0.000 0.000 0.500
Er2 Er 0.000 0.334 0.500
Tm1 Tm 0.000 0.166 0.000
Mg1 Mg 0.000 0.500 0.000
```

Largest 6 diffraction maxima, low angle first, 2θ = 10–80°:
d (Å), Rel. int.
2.902, 100
2.865, 32
2.505, 67
1.780, 24
1.763, 23
1.512, 19

---

[9]
Diffraction record for Sm2Y2ErMg. The X-ray diffraction stick pattern is computed, not measured: it uses the GGA-PBE geometry in Alexandria and a wavelength of 1.5418 Å.
Intensities are scaled so that the largest is 100.

Atomic structure:
```
data_Sm2Y2ErMg
_chemical_formula_sum 'Sm8 Y8 Er4 Mg4'
_space_group_name_H-M_alt 'I b a m'
_space_group_IT_number 72
_space_group_name_Hall '-I 2 2c'
_cell_length_a 6.780
_cell_length_b 17.631
_cell_length_c 6.410
_cell_angle_alpha 90.00
_cell_angle_beta 90.00
_cell_angle_gamma 90.00
loop_
_atom_site_label
_atom_site_type_symbol
_atom_site_fract_x
_atom_site_fract_y
_atom_site_fract_z
Sm1 Sm 0.163 0.152 0.000
Y1 Y 0.159 0.349 0.000
Er1 Er 0.000 0.000 0.250
Mg1 Mg 0.000 0.500 0.250
```

Largest 6 diffraction maxima, low angle first, 2θ = 10–80°:
d (Å), Rel. int.
6.328, 63
3.012, 47
2.954, 89
2.939, 64
2.593, 100
2.284, 65

---

[10]
Diffraction record for SmErMgZn. The X-ray diffraction stick pattern is computed, not measured: it uses the GGA-PBE geometry in Alexandria and a wavelength of 1.5418 Å.
Intensities are scaled so that the largest is 100.

Atomic structure:
```
data_SmErMgZn
_chemical_formula_sum 'Sm1 Er1 Mg1 Zn1'
_space_group_name_H-M_alt 'P 4 m m'
_space_group_IT_number 99
_space_group_name_Hall 'P 4 -2'
_cell_length_a 3.603
_cell_length_b 3.603
_cell_length_c 7.828
_cell_angle_alpha 90.00
_cell_angle_beta 90.00
_cell_angle_gamma 90.00
loop_
_atom_site_label
_atom_site_type_symbol
_atom_site_fract_x
_atom_site_fract_y
_atom_site_fract_z
Sm1 Sm 0.000 0.000 0.000
Er1 Er 0.000 0.000 0.447
Mg1 Mg 0.500 0.500 0.715
Zn1 Zn 0.500 0.500 0.239
```

Largest 6 diffraction maxima, low angle first, 2θ = 10–80°:
d (Å), Rel. int.
7.828, 21
3.914, 18
3.603, 34
2.651, 100
2.548, 49
1.490, 34

---

[11]
Diffraction record for Er4Mg9Sn11. The X-ray diffraction stick pattern is computed, not measured: it uses the GGA-PBE geometry in Alexandria and a wavelength of 1.5418 Å.
Intensities are scaled so that the largest is 100.

Atomic structure:
```
data_Er4Mg9Sn11
_chemical_formula_sum 'Er8 Mg18 Sn22'
_space_group_name_H-M_alt 'C m m m'
_space_group_IT_number 65
_space_group_name_Hall '-C 2 2'
_cell_length_a 15.402
_cell_length_b 22.599
_cell_length_c 3.424
_cell_angle_alpha 90.00
_cell_angle_beta 90.00
_cell_angle_gamma 90.00
loop_
_atom_site_label
_atom_site_type_symbol
_atom_site_fract_x
_atom_site_fract_y
_atom_site_fract_z
Er1 Er 0.169 0.087 0.000
Mg1 Mg 0.000 0.000 0.000
Mg2 Mg 0.107 0.227 0.000
Mg3 Mg 0.107 0.407 0.000
Sn1 Sn 0.000 0.122 0.500
Sn2 Sn 0.000 0.317 0.500
Sn3 Sn 0.000 0.500 0.500
Sn4 Sn 0.211 0.500 0.500
Sn5 Sn 0.225 0.316 0.500
```

Largest 6 diffraction maxima, low angle first, 2θ = 10–80°:
d (Å), Rel. int.
4.337, 80
2.691, 79
2.559, 89
2.546, 81
2.534, 100
2.409, 54

---

[12]
Diffraction record for ErMg4Sn2. The X-ray diffraction stick pattern is computed, not measured: it uses the GGA-PBE geometry in Alexandria and a wavelength of 1.5418 Å.
Intensities are scaled so that the largest is 100.

Atomic structure:
```
data_ErMg4Sn2
_chemical_formula_sum 'Er2 Mg8 Sn4'
_space_group_name_H-M_alt 'P 42/m n m'
_space_group_IT_number 136
_space_group_name_Hall '-P 4n 2n'
_cell_length_a 8.645
_cell_length_b 8.645
_cell_length_c 4.566
_cell_angle_alpha 90.00
_cell_angle_beta 90.00
_cell_angle_gamma 90.00
loop_
_atom_site_label
_atom_site_type_symbol
_atom_site_fract_x
_atom_site_fract_y
_atom_site_fract_z
Er1 Er 0.000 0.000 0.000
Mg1 Mg 0.103 0.356 0.500
Sn1 Sn 0.190 0.810 0.500
```

Largest 6 diffraction maxima, low angle first, 2θ = 10–80°:
d (Å), Rel. int.
6.113, 48
3.866, 33
3.658, 36
3.056, 37
2.950, 100
2.437, 61